[1]
The following is a simulated X-ray diffraction stick pattern of NdDy2HoTh. It was derived from a structure optimized by DFT (PBE), using copper Kα.
Peak positions follow from Bragg's law for the DFT cell and can differ from measured ones.

Peak list (8 most intense, 15° ≤ 2θ ≤ 90°, by intensity)
31.6 deg, I = 1000; 31.7 deg, I = 399; 34.8 deg, I = 264; 36.4 deg, I = 250; 61.7 deg, I = 204; 32.6 deg, I = 198; 56.4 deg, I = 196; 20.4 deg, I = 178

Atomic structure:
```
NdDy2HoTh
1.0
3.539 0.000 0.000
0.000 5.645 0.000
0.000 0.000 8.694
Nd Dy Ho Th
1 2 1 1
Direct
0.000 0.000 0.000 Nd
0.000 0.500 0.322 Dy
0.000 0.500 0.678 Dy
0.500 0.000 0.500 Ho
0.500 0.500 0.000 Th
```



[2]
The following is a simulated X-ray diffraction stick pattern of Zn3SnI9. It was derived from a structure optimized by DFT (PBE), using copper Kα.
Peak positions follow from Bragg's law for the DFT cell and can differ from measured ones.

Peak list (8 most intense, 15° ≤ 2θ ≤ 90°, by intensity)
21.6 deg, I = 1000; 27.8 deg, I = 979; 26.0 deg, I = 910; 26.3 deg, I = 774; 27.6 deg, I = 658; 24.2 deg, I = 641; 32.2 deg, I = 594; 16.6 deg, I = 582

Atomic structure:
```
Zn3SnI9
1.0
7.031 -7.348 0.000
7.031 7.348 0.000
0.000 0.000 10.693
Zn Sn I
6 2 18
Direct
0.193 0.803 0.951 Zn
0.197 0.807 0.549 Zn
0.231 0.231 0.500 Zn
0.769 0.769 0.000 Zn
0.803 0.193 0.049 Zn
0.807 0.197 0.451 Zn
0.298 0.298 0.000 Sn
0.702 0.702 0.500 Sn
0.001 0.732 0.102 I
0.009 0.343 0.959 I
0.094 0.906 0.750 I
0.268 0.999 0.398 I
0.269 0.379 0.290 I
0.343 0.009 0.041 I
0.353 0.607 0.944 I
0.379 0.269 0.710 I
0.393 0.647 0.556 I
0.607 0.353 0.056 I
0.621 0.731 0.210 I
0.647 0.393 0.444 I
0.657 0.991 0.541 I
0.731 0.621 0.790 I
0.732 0.001 0.898 I
0.906 0.094 0.250 I
0.991 0.657 0.459 I
0.999 0.268 0.602 I
```



[3]
The following is a simulated X-ray diffraction stick pattern of Rb2TlPPt. It was derived from a structure optimized by DFT (PBE), using copper Kα.
Peak positions follow from Bragg's law for the DFT cell and can differ from measured ones.

Peak list (8 most intense, 15° ≤ 2θ ≤ 90°, by intensity)
26.6 deg, I = 1000; 24.2 deg, I = 903; 36.3 deg, I = 651; 18.8 deg, I = 396; 38.0 deg, I = 390; 49.6 deg, I = 364; 57.2 deg, I = 238; 27.7 deg, I = 235

Atomic structure:
```
Rb2TlPPt
1.0
6.692 0.000 0.000
0.000 6.692 0.000
0.000 0.000 4.397
Rb Tl P Pt
2 1 1 1
Direct
0.000 0.500 0.000 Rb
0.500 0.000 0.000 Rb
0.000 0.000 0.500 Tl
0.500 0.500 0.500 P
0.500 0.500 0.000 Pt
```